(1)
For LiTiS2, a PBE-relaxed structure gives the calculated X-ray diffraction stick pattern in this record (Cu Kα (λ = 1.5418 Å)).
Neutral-atom scattering factors, no anomalous dispersion.

Peak list (8 most intense, 10° ≤ 2θ ≤ 90°, low angle first)
14.49 deg, I = 55
29.98 deg, I = 19
35.59 deg, I = 100
49.95 deg, I = 34
52.47 deg, I = 29
65.02 deg, I = 15
84.25 deg, I = 13
88.19 deg, I = 13

abc: 3.4879 3.4879 18.3376
angles: 90.00 90.00 120.00
Atoms (fractional coordinates):
1 Li 0.0000 0.0000 0.0000
2 Li 0.3333 0.6667 0.6667
3 Li 0.6667 0.3333 0.3333
4 Ti 0.0000 0.0000 0.5000
5 Ti 0.3333 0.6667 0.1667
6 Ti 0.6667 0.3333 0.8333
7 S 0.0000 0.0000 0.2458
8 S 0.0000 0.0000 0.7542
9 S 0.3333 0.6667 0.4209
10 S 0.3333 0.6667 0.9124
11 S 0.6667 0.3333 0.0876
12 S 0.6667 0.3333 0.5791

---

(2)
For Ho4Ga12Pt, a PBE-relaxed structure gives the calculated X-ray diffraction stick pattern in this record (Cu Kα (λ = 1.5418 Å)).
Neutral-atom scattering factors, no anomalous dispersion.

Peak list (8 most intense, 10° ≤ 2θ ≤ 90°, low angle first)
29.25 deg, I = 57
32.79 deg, I = 16
36.03 deg, I = 100
39.02 deg, I = 24
41.84 deg, I = 82
51.87 deg, I = 17
60.66 deg, I = 48
72.62 deg, I = 29

abc: 7.4791 7.4791 7.4791
angles: 109.47 109.47 109.47
Atoms (fractional coordinates):
1 Ho 0.0000 0.0000 0.5000
2 Ho 0.0000 0.5000 0.0000
3 Ho 0.5000 0.0000 0.0000
4 Ho 0.5000 0.5000 0.5000
5 Ga 0.0000 0.2961 0.2961
6 Ga 0.0000 0.7039 0.7039
7 Ga 0.2500 0.5000 0.7500
8 Ga 0.2500 0.7500 0.5000
9 Ga 0.2961 0.0000 0.2961
10 Ga 0.2961 0.2961 0.0000
11 Ga 0.5000 0.2500 0.7500
12 Ga 0.5000 0.7500 0.2500
13 Ga 0.7039 0.0000 0.7039
14 Ga 0.7039 0.7039 0.0000
15 Ga 0.7500 0.2500 0.5000
16 Ga 0.7500 0.5000 0.2500
17 Pt 0.0000 0.0000 0.0000

---

(3)
For SrCaEuBiO6, a PBE-relaxed structure gives the calculated X-ray diffraction stick pattern in this record (Cu Kα (λ = 1.5418 Å)).
Neutral-atom scattering factors, no anomalous dispersion.

Peak list (8 most intense, 10° ≤ 2θ ≤ 90°, low angle first)
20.79 deg, I = 35
29.57 deg, I = 100
42.31 deg, I = 27
47.59 deg, I = 17
52.46 deg, I = 47
61.38 deg, I = 16
69.58 deg, I = 19
84.93 deg, I = 23

abc: 8.5440 8.5446 8.5460
angles: 90.00 90.00 90.00
Atoms (fractional coordinates):
1 Sr 0.0000 0.0000 0.0000
2 Sr 0.0000 0.0000 0.5000
3 Sr 0.5000 0.0000 0.0000
4 Sr 0.5000 0.5000 0.5000
5 Ca 0.0000 0.5000 0.0000
6 Ca 0.0000 0.5000 0.5000
7 Ca 0.5000 0.0000 0.5000
8 Ca 0.5000 0.5000 0.0000
9 Eu 0.2497 0.2522 0.2498
10 Eu 0.2497 0.7478 0.7502
11 Eu 0.7503 0.2522 0.7502
12 Eu 0.7503 0.7478 0.2498
13 Bi 0.2498 0.2526 0.7497
14 Bi 0.2498 0.7474 0.2503
15 Bi 0.7502 0.2526 0.2503
16 Bi 0.7502 0.7474 0.7497
17 O 0.0093 0.2142 0.8028
18 O 0.0093 0.7858 0.1972
19 O 0.1910 0.4911 0.7022
20 O 0.1910 0.5089 0.2978
21 O 0.2148 0.1993 0.5085
22 O 0.2148 0.8007 0.4915
23 O 0.2953 0.3109 0.9898
24 O 0.2953 0.6891 0.0102
25 O 0.2973 0.0096 0.7880
26 O 0.2973 0.9904 0.2120
27 O 0.4914 0.2875 0.7000
28 O 0.4914 0.7125 0.3000
29 O 0.5086 0.2875 0.3000
30 O 0.5086 0.7125 0.7000
31 O 0.7027 0.0096 0.2120
32 O 0.7027 0.9904 0.7880
33 O 0.7047 0.3109 0.0102
34 O 0.7047 0.6891 0.9898
35 O 0.7852 0.1993 0.4915
36 O 0.7852 0.8007 0.5085
37 O 0.8090 0.4911 0.2978
38 O 0.8090 0.5089 0.7022
39 O 0.9907 0.2142 0.1972
40 O 0.9907 0.7858 0.8028

---

(4)
For GaReCl6O2, a PBE-relaxed structure gives the calculated X-ray diffraction stick pattern in this record (Cu Kα (λ = 1.5418 Å)).
Neutral-atom scattering factors, no anomalous dispersion.

Peak list (8 most intense, 10° ≤ 2θ ≤ 90°, low angle first)
12.73 deg, I = 35
15.24 deg, I = 100
20.24 deg, I = 34
20.50 deg, I = 19
22.91 deg, I = 11
25.65 deg, I = 16
28.97 deg, I = 36
36.18 deg, I = 14

abc: 12.4568 8.6640 11.6978
angles: 90.00 110.79 90.00
Atoms (fractional coordinates):
1 Ga 0.2465 0.1464 0.1263
2 Ga 0.2465 0.3536 0.6263
3 Ga 0.7535 0.6464 0.3737
4 Ga 0.7535 0.8536 0.8737
5 Re 0.2572 0.7229 0.1254
6 Re 0.2572 0.7771 0.6254
7 Re 0.7428 0.2229 0.3746
8 Re 0.7428 0.2771 0.8746
9 Cl 0.1046 0.7409 0.6854
10 Cl 0.1046 0.7591 0.1854
11 Cl 0.1245 0.2174 0.6741
12 Cl 0.1245 0.2826 0.1741
13 Cl 0.1563 0.5338 0.4815
14 Cl 0.1563 0.9662 0.9815
15 Cl 0.3335 0.5301 0.7757
16 Cl 0.3335 0.9699 0.2757
17 Cl 0.3720 0.2316 0.5739
18 Cl 0.3720 0.2684 0.0739
19 Cl 0.4046 0.7003 0.5675
20 Cl 0.4046 0.7997 0.0675
21 Cl 0.5954 0.2003 0.9325
22 Cl 0.5954 0.2997 0.4325
23 Cl 0.6280 0.7316 0.9261
24 Cl 0.6280 0.7684 0.4261
25 Cl 0.6665 0.0301 0.7243
26 Cl 0.6665 0.4699 0.2243
27 Cl 0.8437 0.0338 0.0185
28 Cl 0.8437 0.4662 0.5185
29 Cl 0.8755 0.7174 0.8259
30 Cl 0.8755 0.7826 0.3259
31 Cl 0.8954 0.2409 0.8146
32 Cl 0.8954 0.2591 0.3146
33 O 0.1916 0.6029 0.0048
34 O 0.1916 0.8971 0.5048
35 O 0.3344 0.6045 0.2425
36 O 0.3344 0.8955 0.7425
37 O 0.6656 0.1045 0.2575
38 O 0.6656 0.3955 0.7575
39 O 0.8084 0.1029 0.4952
40 O 0.8084 0.3971 0.9952

---

(5)
For SrB2Rh2, a PBE-relaxed structure gives the calculated X-ray diffraction stick pattern in this record (Cu Kα (λ = 1.5418 Å)).
Neutral-atom scattering factors, no anomalous dispersion.

Peak list (8 most intense, 10° ≤ 2θ ≤ 90°, low angle first)
19.24 deg, I = 23
30.51 deg, I = 100
35.12 deg, I = 96
38.02 deg, I = 39
40.93 deg, I = 53
45.86 deg, I = 22
52.88 deg, I = 21
66.82 deg, I = 17

abc: 7.1547 6.1637 5.6231
angles: 74.59 56.15 49.26
Atoms (fractional coordinates):
1 Sr 0.1250 0.1250 0.1250
2 Sr 0.8750 0.8750 0.8750
3 B 0.2034 0.5466 0.2034
4 B 0.4534 0.7966 0.4534
5 B 0.5466 0.2034 0.5466
6 B 0.7966 0.4534 0.7966
7 Rh 0.2443 0.2443 0.5057
8 Rh 0.4943 0.4943 0.7557
9 Rh 0.5057 0.5057 0.2443
10 Rh 0.7557 0.7557 0.4943

---

(6)
For K7TaS6O24, a PBE-relaxed structure gives the calculated X-ray diffraction stick pattern in this record (Cu Kα (λ = 1.5418 Å)).
Neutral-atom scattering factors, no anomalous dispersion.

Peak list (8 most intense, 10° ≤ 2θ ≤ 90°, low angle first)
11.45 deg, I = 57
16.22 deg, I = 23
19.91 deg, I = 22
25.78 deg, I = 100
30.62 deg, I = 43
34.83 deg, I = 14
42.17 deg, I = 21
51.57 deg, I = 21

abc: 9.4602 9.4602 9.4602
angles: 109.45 109.45 109.45
Atoms (fractional coordinates):
1 K 0.0000 0.0000 0.0000
2 K 0.1656 0.6632 0.8241
3 K 0.1759 0.8344 0.3368
4 K 0.3368 0.1759 0.8344
5 K 0.6632 0.8241 0.1656
6 K 0.8241 0.1656 0.6632
7 K 0.8344 0.3368 0.1759
8 Ta 0.5000 0.5000 0.5000
9 S 0.1186 0.2459 0.4685
10 S 0.2459 0.4685 0.1186
11 S 0.4685 0.1186 0.2459
12 S 0.5315 0.8814 0.7541
13 S 0.7541 0.5315 0.8814
14 S 0.8814 0.7541 0.5315
15 O 0.0235 0.8510 0.7124
16 O 0.0739 0.3357 0.5907
17 O 0.1396 0.5152 0.1860
18 O 0.1490 0.2876 0.9765
19 O 0.1860 0.1396 0.5152
20 O 0.2689 0.3929 0.4780
21 O 0.2876 0.9765 0.1490
22 O 0.3357 0.5907 0.0739
23 O 0.3929 0.4780 0.2689
24 O 0.4093 0.9261 0.6643
25 O 0.4780 0.2689 0.3929
26 O 0.4848 0.8140 0.8604
27 O 0.5152 0.1860 0.1396
28 O 0.5220 0.7311 0.6071
29 O 0.5907 0.0739 0.3357
30 O 0.6071 0.5220 0.7311
31 O 0.6643 0.4093 0.9261
32 O 0.7124 0.0235 0.8510
33 O 0.7311 0.6071 0.5220
34 O 0.8140 0.8604 0.4848
35 O 0.8510 0.7124 0.0235
36 O 0.8604 0.4848 0.8140
37 O 0.9261 0.6643 0.4093
38 O 0.9765 0.1490 0.2876

---

(7)
For Na4Al3Ge3BrO12, a PBE-relaxed structure gives the calculated X-ray diffraction stick pattern in this record (Cu Kα (λ = 1.5418 Å)).
Neutral-atom scattering factors, no anomalous dispersion.

Peak list (8 most intense, 10° ≤ 2θ ≤ 90°, low angle first)
19.29 deg, I = 14
21.60 deg, I = 22
23.69 deg, I = 100
33.74 deg, I = 18
36.54 deg, I = 40
41.64 deg, I = 14
56.58 deg, I = 18
62.19 deg, I = 18

abc: 9.2013 9.2013 9.2013
angles: 90.00 90.00 90.00
Atoms (fractional coordinates):
1 Na 0.1811 0.1811 0.1811
2 Na 0.1811 0.8189 0.8189
3 Na 0.3189 0.3189 0.6811
4 Na 0.3189 0.6811 0.3189
5 Na 0.6811 0.3189 0.3189
6 Na 0.6811 0.6811 0.6811
7 Na 0.8189 0.1811 0.8189
8 Na 0.8189 0.8189 0.1811
9 Al 0.0000 0.2500 0.5000
10 Al 0.0000 0.7500 0.5000
11 Al 0.2500 0.5000 0.0000
12 Al 0.5000 0.0000 0.2500
13 Al 0.5000 0.0000 0.7500
14 Al 0.7500 0.5000 0.0000
15 Ge 0.0000 0.5000 0.2500
16 Ge 0.0000 0.5000 0.7500
17 Ge 0.2500 0.0000 0.5000
18 Ge 0.5000 0.2500 0.0000
19 Ge 0.5000 0.7500 0.0000
20 Ge 0.7500 0.0000 0.5000
21 Br 0.0000 0.0000 0.0000
22 Br 0.5000 0.5000 0.5000
23 O 0.0691 0.3551 0.6453
24 O 0.0691 0.6449 0.3547
25 O 0.1453 0.1449 0.4309
26 O 0.1449 0.4309 0.1453
27 O 0.1449 0.5691 0.8547
28 O 0.1453 0.8551 0.5691
29 O 0.3547 0.0691 0.6449
30 O 0.3551 0.3547 0.9309
31 O 0.3551 0.6453 0.0691
32 O 0.3547 0.9309 0.3551
33 O 0.4309 0.1453 0.1449
34 O 0.4309 0.8547 0.8551
35 O 0.5691 0.1453 0.8551
36 O 0.5691 0.8547 0.1449
37 O 0.6453 0.0691 0.3551
38 O 0.6449 0.3547 0.0691
39 O 0.6449 0.6453 0.9309
40 O 0.6453 0.9309 0.6449
41 O 0.8547 0.1449 0.5691
42 O 0.8551 0.4309 0.8547
43 O 0.8551 0.5691 0.1453
44 O 0.8547 0.8551 0.4309
45 O 0.9309 0.3551 0.3547
46 O 0.9309 0.6449 0.6453

---

(8)
For Al11NO17, a PBE-relaxed structure gives the calculated X-ray diffraction stick pattern in this record (Cu Kα (λ = 1.5418 Å)).
Neutral-atom scattering factors, no anomalous dispersion.

Peak list (8 most intense, 10° ≤ 2θ ≤ 90°, low angle first)
15.40 deg, I = 100
19.70 deg, I = 36
32.80 deg, I = 72
35.37 deg, I = 52
41.78 deg, I = 36
43.86 deg, I = 39
64.99 deg, I = 36
66.09 deg, I = 69

abc: 5.6549 5.6549 23.0215
angles: 90.00 90.00 120.00
Atoms (fractional coordinates):
1 Al 0.0000 0.0000 0.0000
2 Al 0.0000 0.0000 0.5000
3 Al 0.1673 0.3347 0.1062
4 Al 0.1673 0.3347 0.3938
5 Al 0.1673 0.8327 0.1062
6 Al 0.1673 0.8327 0.3938
7 Al 0.3333 0.6667 0.5246
8 Al 0.3333 0.6667 0.6747
9 Al 0.3333 0.6667 0.8253
10 Al 0.3333 0.6667 0.9754
11 Al 0.3347 0.1673 0.6062
12 Al 0.3347 0.1673 0.8938
13 Al 0.6653 0.8327 0.1062
14 Al 0.6653 0.8327 0.3938
15 Al 0.6667 0.3333 0.0246
16 Al 0.6667 0.3333 0.1747
17 Al 0.6667 0.3333 0.3253
18 Al 0.6667 0.3333 0.4754
19 Al 0.8327 0.1673 0.6062
20 Al 0.8327 0.1673 0.8938
21 Al 0.8327 0.6653 0.6062
22 Al 0.8327 0.6653 0.8938
23 N 0.3333 0.6667 0.2500
24 N 0.6667 0.3333 0.7500
25 O 0.0000 0.0000 0.1400
26 O 0.0000 0.0000 0.3600
27 O 0.0000 0.0000 0.6400
28 O 0.0000 0.0000 0.8600
29 O 0.0003 0.5001 0.1435
30 O 0.0003 0.5001 0.3565
31 O 0.9997 0.4999 0.6435
32 O 0.9997 0.4999 0.8565
33 O 0.1572 0.3143 0.5491
34 O 0.1572 0.3143 0.9509
35 O 0.1572 0.8428 0.5491
36 O 0.1572 0.8428 0.9509
37 O 0.3143 0.1572 0.0491
38 O 0.3143 0.1572 0.4509
39 O 0.3333 0.6667 0.0553
40 O 0.3333 0.6667 0.4447
41 O 0.3333 0.6667 0.7500
42 O 0.4999 0.9997 0.1435
43 O 0.4999 0.9997 0.3565
44 O 0.5001 0.0003 0.6435
45 O 0.5001 0.0003 0.8565
46 O 0.4999 0.5001 0.1435
47 O 0.4999 0.5001 0.3565
48 O 0.5001 0.4999 0.6435
49 O 0.5001 0.4999 0.8565
50 O 0.6667 0.3333 0.2500
51 O 0.6667 0.3333 0.5553
52 O 0.6667 0.3333 0.9447
53 O 0.6857 0.8428 0.5491
54 O 0.6857 0.8428 0.9509
55 O 0.8428 0.1572 0.0491
56 O 0.8428 0.1572 0.4509
57 O 0.8428 0.6857 0.0491
58 O 0.8428 0.6857 0.4509

---

(9)
For Nb10Ge6C, a PBE-relaxed structure gives the calculated X-ray diffraction stick pattern in this record (Cu Kα (λ = 1.5418 Å)).
Neutral-atom scattering factors, no anomalous dispersion.

Peak list (8 most intense, 10° ≤ 2θ ≤ 90°, low angle first)
35.51 deg, I = 33
36.13 deg, I = 17
39.42 deg, I = 100
40.46 deg, I = 36
41.02 deg, I = 69
58.98 deg, I = 16
63.81 deg, I = 33
80.22 deg, I = 16

abc: 7.7225 7.7225 5.3555
angles: 90.00 90.00 120.00
Atoms (fractional coordinates):
1 Nb 0.0000 0.2377 0.2437
2 Nb 0.0000 0.7623 0.7563
3 Nb 0.2377 0.0000 0.2437
4 Nb 0.2377 0.2377 0.7563
5 Nb 0.3333 0.6667 0.0000
6 Nb 0.3333 0.6667 0.5000
7 Nb 0.6667 0.3333 0.0000
8 Nb 0.6667 0.3333 0.5000
9 Nb 0.7623 0.0000 0.7563
10 Nb 0.7623 0.7623 0.2437
11 Ge 0.0000 0.3982 0.7450
12 Ge 0.0000 0.6018 0.2550
13 Ge 0.3982 0.0000 0.7450
14 Ge 0.3982 0.3982 0.2550
15 Ge 0.6018 0.0000 0.2550
16 Ge 0.6018 0.6018 0.7450
17 C 0.0000 0.0000 0.0000